Calculated PXRD pattern
Compound: Li2Mn2CrO6
Radiation: Cu Ka
Structure: a cell relaxed with GGA+U
Neutral-atom scattering factors, no anomalous dispersion.

Structure:
```
data_Li2Mn2CrO6
_cell_length_a 5.062
_cell_length_b 10.115
_cell_length_c 5.177
_cell_angle_alpha 90.00
_cell_angle_beta 118.93
_cell_angle_gamma 90.00
_symmetry_space_group_name_H-M 'P 1'
_symmetry_Int_Tables_number 1
loop_
_symmetry_equiv_pos_as_xyz
'x,y,z'
loop_
_atom_site_label
_atom_site_type_symbol
_atom_site_fract_x
_atom_site_fract_y
_atom_site_fract_z
Li1 Li 0.037 0.000 0.295
Li2 Li 0.331 0.503 0.398
Li3 Li 0.669 0.003 0.602
Li4 Li 0.963 0.500 0.705
Mn1 Mn 0.006 0.240 0.907
Mn2 Mn 0.336 0.244 0.573
Mn3 Mn 0.664 0.744 0.427
Mn4 Mn 0.994 0.740 0.093
Cr1 Cr 0.334 0.748 0.762
Cr2 Cr 0.666 0.248 0.238
O1 O 0.001 0.640 0.442
O2 O 0.025 0.345 0.257
O3 O 0.317 0.343 0.891
O4 O 0.327 0.644 0.100
O5 O 0.357 0.135 0.283
O6 O 0.358 0.853 0.446
O7 O 0.642 0.353 0.554
O8 O 0.643 0.635 0.717
O9 O 0.673 0.144 0.900
O10 O 0.683 0.843 0.109
O11 O 0.975 0.845 0.743
O12 O 0.999 0.140 0.558
```

The 12 most intense peaks (2θ from 5° to 70°), low angle first:
17.54 deg, rel. 100, (0 2 0); 35.48 deg, rel. 8, (2 0 -1); 35.83 deg, rel. 13, (1 1 -2); 38.94 deg, rel. 14, (1 2 1); 39.83 deg, rel. 12, (2 2 -1); 43.97 deg, rel. 8, (1 3 1); 44.12 deg, rel. 15, (1 3 -2); 44.78 deg, rel. 8, (2 3 -1); 50.33 deg, rel. 9, (1 4 1); 51.06 deg, rel. 9, (2 4 -1); 57.86 deg, rel. 8, (1 5 -2); 62.15 deg, rel. 8, (0 1 3)